This entry pairs a crystal structure of Tb2ReMoN6 with its calculated X-ray diffraction stick pattern. Radiation: Cu Ka. Structure: a cell relaxed with PBE.
Lines closer than 0.1° are merged.

Main lines, by angle (2θ = 10–90°):
2theta, I (rel.)
19.01, 9.9
30.20, 100.0
33.11, 40.7
38.56, 8.8
45.52, 12.6
47.53, 20.4
51.71, 21.6
57.35, 33.0
62.80, 8.7
67.92, 7.5

Atomic structure:
Cell lengths 5.4109, 5.4109, 4.6692 Å; angles 90.00, 90.00, 90.00 degrees
Fractional positions:
Tb 0.0000 0.5000 0.0000
Tb 0.5000 0.0000 0.0000
Re 0.0000 0.0000 0.5924
Mo 0.5000 0.5000 0.5908
N 0.0000 0.0000 0.2145
N 0.2469 0.2469 0.7186
N 0.2469 0.7531 0.7186
N 0.5000 0.5000 0.2104
N 0.7531 0.2469 0.7186
N 0.7531 0.7531 0.7186


This entry pairs a crystal structure of Mo4RhN with its calculated X-ray diffraction stick pattern. Radiation: Cu Ka. Structure: a cell relaxed with PBE.
Lines closer than 0.1° are merged.

Main lines, by angle (2θ = 10–90°):
2theta, I (rel.)
34.93, 31.6
36.17, 42.9
36.87, 58.6
37.67, 70.2
37.97, 100.0
38.36, 84.6
39.96, 27.2
40.36, 69.4
40.71, 26.6
53.51, 32.0

Atomic structure:
Cell lengths 7.1289, 7.1289, 4.9687 Å; angles 109.79, 109.79, 117.04 degrees
Fractional positions:
Mo 0.0556 0.2195 0.1414
Mo 0.1390 0.5168 0.8219
Mo 0.2195 0.0556 0.6414
Mo 0.4832 0.8610 0.6781
Mo 0.5168 0.1390 0.3219
Mo 0.7805 0.9444 0.3586
Mo 0.8610 0.4832 0.1781
Mo 0.9444 0.7805 0.8586
Rh 0.4969 0.5031 0.7500
Rh 0.5031 0.4969 0.2500
N 0.2002 0.7998 0.2500
N 0.7998 0.2002 0.7500


This entry pairs a crystal structure of Mo3RhN with its calculated X-ray diffraction stick pattern. Radiation: Cu Ka. Structure: a cell relaxed with PBE.
Lines closer than 0.1° are merged.

Main lines, by angle (2θ = 10–90°):
2theta, I (rel.)
36.73, 51.3
39.50, 83.9
39.79, 71.6
39.95, 79.7
40.12, 64.7
40.66, 100.0
42.53, 27.1
60.31, 28.0
78.67, 29.9
78.83, 27.9

Atomic structure:
Cell lengths 2.8843, 5.4264, 9.3748 Å; angles 74.14, 89.99, 74.64 degrees
Fractional positions:
Mo 0.0985 0.3048 0.1571
Mo 0.1941 0.1106 0.5989
Mo 0.3541 0.7885 0.0949
Mo 0.6459 0.2115 0.9051
Mo 0.8059 0.8894 0.4011
Mo 0.9015 0.6952 0.8429
Rh 0.4712 0.5580 0.6289
Rh 0.5288 0.4420 0.3711
N 0.2535 0.9934 0.8266
N 0.7465 0.0066 0.1734


This entry pairs a crystal structure of MoRuN with its calculated X-ray diffraction stick pattern. Radiation: Cu Ka. Structure: a cell relaxed with PBE.
Lines closer than 0.1° are merged.

Main lines, by angle (2θ = 10–90°):
2theta, I (rel.)
36.85, 30.7
38.12, 100.0
43.94, 80.8
47.92, 9.8
63.01, 20.7
64.75, 26.1
75.29, 7.8
76.91, 14.3
77.69, 12.5
81.52, 8.5

Atomic structure:
Cell lengths 5.1541, 5.1541, 4.9837 Å; angles 99.25, 99.25, 32.47 degrees
Fractional positions:
Mo 0.1094 0.1094 0.3738
Mo 0.8906 0.8906 0.6262
Ru 0.3929 0.3929 0.1294
Ru 0.6071 0.6071 0.8706
N 0.2500 0.2500 0.7430
N 0.7500 0.7500 0.2570


This entry pairs a crystal structure of MoRuN3 with its calculated X-ray diffraction stick pattern. Radiation: Cu Ka. Structure: a cell relaxed with PBE.
Lines closer than 0.1° are merged.

Main lines, by angle (2θ = 10–90°):
2theta, I (rel.)
13.82, 76.7
16.93, 38.4
17.92, 94.2
22.11, 100.0
24.56, 60.5
26.57, 91.4
32.24, 47.5
35.91, 46.1
36.22, 42.6
48.14, 38.1

Atomic structure:
Cell lengths 5.5773, 8.0563, 8.0813 Å; angles 65.02, 71.10, 76.06 degrees
Fractional positions:
Mo 0.0985 0.1642 0.3927
Mo 0.2112 0.3549 0.9783
Mo 0.7888 0.6451 0.0217
Mo 0.9015 0.8358 0.6073
Ru 0.4590 0.2185 0.6906
Ru 0.4878 0.6416 0.7038
Ru 0.5122 0.3584 0.2962
Ru 0.5410 0.7815 0.3094
N 0.1059 0.6348 0.8079
N 0.1864 0.1655 0.9189
N 0.2315 0.9125 0.4132
N 0.2557 0.2243 0.5293
N 0.4287 0.2684 0.1407
N 0.4413 0.5962 0.2820
N 0.5587 0.4038 0.7180
N 0.5713 0.7316 0.8593
N 0.7443 0.7757 0.4707
N 0.7685 0.0875 0.5868
N 0.8136 0.8345 0.0811
N 0.8941 0.3652 0.1921


This entry pairs a crystal structure of SnMoSN2 with its calculated X-ray diffraction stick pattern. Radiation: Cu Ka. Structure: a cell relaxed with PBE.
Lines closer than 0.1° are merged.

Main lines, by angle (2θ = 10–90°):
2theta, I (rel.)
28.62, 100.0
31.79, 56.1
35.78, 31.5
45.58, 30.8
48.61, 34.8
54.71, 33.9
59.26, 27.4
59.98, 12.9
77.81, 12.5
86.49, 14.9

Atomic structure:
Cell lengths 3.9807, 3.9807, 5.0190 Å; angles 90.00, 90.00, 90.00 degrees
Fractional positions:
Sn 0.0000 0.0000 0.0000
Mo 0.5000 0.5000 0.5000
S 0.5000 0.5000 0.0000
N 0.0000 0.5000 0.5000
N 0.5000 0.0000 0.5000